This entry pairs a crystal structure of Li4Mn2Cr3Sn3O16 with its calculated X-ray diffraction stick pattern. Radiation: λ = 1.5418 Å (Cu Kα). Structure: the GGA+U geometry in Alexandria.

Atomic structure:
a b c (Å): 6.0649 6.1086 9.6573
angles (deg): 88.82 89.65 60.68
Element x y z (fractional)
Li: 0.0000 0.0000 0.0000
Li: 0.0019 0.9855 0.4943
Li: 0.3469 0.3580 0.5908
Li: 0.6840 0.6832 0.0986
Mn: 0.3509 0.3540 0.0119
Mn: 0.6832 0.6824 0.4978
Cr: 0.1874 0.6638 0.2758
Cr: 0.6779 0.1715 0.2756
Cr: 0.8370 0.8549 0.7788
Sn: 0.1807 0.1734 0.2814
Sn: 0.3501 0.8586 0.7797
Sn: 0.8418 0.3632 0.7804
O: 0.0043 0.0247 0.6803
O: 0.0129 0.9994 0.1808
O: 0.0626 0.4923 0.1425
O: 0.1732 0.1859 0.9031
O: 0.1778 0.6864 0.8962
O: 0.3448 0.8321 0.3927
O: 0.3542 0.3396 0.3843
O: 0.4930 0.0602 0.1414
O: 0.4944 0.4864 0.1470
O: 0.5294 0.5487 0.6447
O: 0.5306 0.0022 0.6599
O: 0.6798 0.1838 0.8984
O: 0.6830 0.6883 0.8950
O: 0.8481 0.8337 0.3849
O: 0.8497 0.3164 0.3922
O: 0.9692 0.5573 0.6504

Largest 10 diffraction maxima, sorted by position, 10 to 90 degrees two-theta:
hkl, Position (°2θ), Rel. int.
1 1 0, 16.9, 172
0 0 2, 18.4, 1000
0 1 1, 18.9, 214
1 1 1, 19.1, 795
1 1 -2, 25.2, 218
1 2 2, 34.4, 199
0 2 1, 34.8, 370
0 2 -1, 35.2, 522
2 0 -3, 44.2, 240
2 -2 0, 60.2, 171